Record 1
Starting from a crystal structure in Alexandria, relaxed with PBE, the PXRD pattern of KHgBr3O was computed for λ = 1.5418 Å (Cu Kα).

Atomic structure:
```
12
Lattice="2.1449 -8.1563 0.0000 2.1449 8.1563 0.0000 0.0000 0.0000 11.7556" Properties=species:S:1:pos:R:3 pbc="T T T"
K 2.1449 4.1589 5.8778
K 2.1449 -4.1589 0.0000
Hg 2.1449 0.0524 3.6077
Hg 2.1449 -0.0524 9.4855
Br 2.1449 6.7854 10.6880
Br 2.1449 2.5000 9.1579
Br 2.1449 1.2736 1.1147
Br 2.1449 -1.2736 6.9925
Br 2.1449 -2.5000 3.2801
Br 2.1449 -6.7854 4.8103
O 2.1449 3.0512 1.2082
O 2.1449 -3.0512 7.0860
```

Peak list (12 most intense, 5 to 70 degrees two-theta, by angle)
2θ 10.8, rel. 100
2θ 15.1, rel. 40
2θ 18.6, rel. 53
2θ 21.4, rel. 73
2θ 25.2, rel. 36
2θ 26.3, rel. 54
2θ 27.5, rel. 37
2θ 36.4, rel. 36
2θ 37.5, rel. 63
2θ 37.9, rel. 44
2θ 42.1, rel. 25
2θ 47.0, rel. 38


Record 2
Starting from a crystal structure in Alexandria, relaxed with PBE, the PXRD pattern of NiAu was computed for λ = 1.5418 Å (Cu Kα).

Atomic structure:
```
4
Lattice="2.7846 0.0000 0.0000 0.0000 4.1759 0.0000 -1.3268 0.0000 5.0377" Properties=species:S:1:pos:R:3 pbc="T T T"
Ni -0.0332 1.0440 0.6624
Ni 1.4910 3.1319 4.3754
Au 0.0736 1.0440 3.3612
Au 1.3842 3.1319 1.6765
```

Peak list (12 most intense, 5 to 70 degrees two-theta, by angle)
2θ 17.6, rel. 15
2θ 27.7, rel. 56
2θ 35.6, rel. 11
2θ 39.8, rel. 49
2θ 40.0, rel. 62
2θ 41.9, rel. 100
2θ 42.4, rel. 27
2θ 43.3, rel. 39
2θ 54.7, rel. 6
2θ 61.8, rel. 20
2θ 62.3, rel. 18
2θ 67.2, rel. 10


Record 3
Starting from a crystal structure in Alexandria, relaxed with PBE, the PXRD pattern of Ac3Mg7Hg2 was computed for λ = 1.5418 Å (Cu Kα).

Atomic structure:
```
12
Lattice="3.1449 1.8157 9.8626 -3.1449 1.8157 9.8626 0.0000 -3.6314 9.8626" Properties=species:S:1:pos:R:3 pbc="T T T"
Ac 0.0000 0.0000 0.0000
Ac 0.0000 0.0000 4.2646
Ac 0.0000 0.0000 25.3233
Mg -1.5796 -0.9120 12.2032
Mg 0.0000 -1.8240 17.3847
Mg -1.5796 0.9120 17.3847
Mg 0.0000 0.0000 14.7939
Mg 1.5796 -0.9120 12.2032
Mg 0.0000 1.8240 12.2032
Mg 1.5796 0.9120 17.3847
Hg 0.0000 0.0000 9.8812
Hg 0.0000 0.0000 19.7067
```

Peak list (12 most intense, 5 to 70 degrees two-theta, by angle)
2θ 9.0, rel. 14
2θ 16.5, rel. 13
2θ 18.0, rel. 47
2θ 20.2, rel. 19
2θ 26.7, rel. 21
2θ 28.4, rel. 86
2θ 33.8, rel. 100
2θ 39.7, rel. 15
2θ 50.2, rel. 18
2θ 53.8, rel. 27
2θ 55.0, rel. 22
2θ 58.7, rel. 16


Record 4
Starting from a crystal structure in Alexandria, relaxed with PBE, the PXRD pattern of Dy5Co2B6 was computed for λ = 1.5418 Å (Cu Kα).

Atomic structure:
```
13
Lattice="2.6995 1.5585 7.7633 -2.6995 1.5585 7.7633 0.0000 -3.1171 7.7633" Properties=species:S:1:pos:R:3 pbc="T T T"
Dy 0.0000 0.0000 0.0000
Dy 0.0000 0.0000 5.8523
Dy 0.0000 0.0000 9.6985
Dy 0.0000 0.0000 13.5915
Dy 0.0000 0.0000 17.4377
Co 0.0000 0.0000 2.7835
Co 0.0000 0.0000 20.5064
B -0.8952 -1.5505 11.6450
B -1.7904 0.0000 11.6450
B 0.8952 -1.5505 11.6450
B -0.8952 1.5505 11.6450
B 1.7904 0.0000 11.6450
B 0.8952 1.5505 11.6450
```

Peak list (12 most intense, 5 to 70 degrees two-theta, by angle)
2θ 22.9, rel. 21
2θ 24.4, rel. 10
2θ 27.0, rel. 22
2θ 33.0, rel. 33
2θ 33.2, rel. 100
2θ 36.4, rel. 19
2θ 40.7, rel. 39
2θ 46.8, rel. 8
2θ 47.5, rel. 12
2θ 58.6, rel. 22
2θ 59.3, rel. 34
2θ 69.7, rel. 12


Record 5
Starting from a crystal structure in Alexandria, relaxed with PBE, the PXRD pattern of PuAl3Rh was computed for λ = 1.5418 Å (Cu Kα).

Atomic structure:
```
20
Lattice="8.3733 0.0000 0.0000 0.0000 3.4641 0.0000 0.0000 0.0000 11.6967" Properties=species:S:1:pos:R:3 pbc="T T T"
Pu 0.7825 0.8660 0.0241
Pu 3.4042 2.5981 5.8725
Pu 4.9691 0.8660 5.8242
Pu 7.5908 2.5981 11.6725
Al 0.6404 0.8660 4.9500
Al 0.8238 2.5981 2.6438
Al 1.2875 2.5981 9.2319
Al 2.8991 0.8660 3.3836
Al 3.3628 0.8660 8.4921
Al 3.5463 2.5981 10.7983
Al 4.8270 0.8660 0.8984
Al 5.0104 2.5981 3.2046
Al 5.4742 2.5981 8.3130
Al 7.0858 0.8660 2.4647
Al 7.5495 0.8660 9.0529
Al 7.7329 2.5981 6.7467
Rh 1.1165 0.8660 7.4347
Rh 3.0702 2.5981 1.5864
Rh 5.3031 0.8660 10.1103
Rh 7.2568 2.5981 4.2619
```

Peak list (12 most intense, 5 to 70 degrees two-theta, by angle)
2θ 13.0, rel. 100
2θ 15.1, rel. 70
2θ 25.2, rel. 70
2θ 33.6, rel. 55
2θ 36.3, rel. 48
2θ 37.0, rel. 67
2θ 40.0, rel. 30
2θ 42.3, rel. 18
2θ 43.2, rel. 16
2θ 47.9, rel. 43
2θ 57.9, rel. 18
2θ 58.6, rel. 17


Record 6
Starting from a crystal structure in Alexandria, relaxed with PBE, the PXRD pattern of SmGa2Pt5 was computed for λ = 1.5418 Å (Cu Kα).

Atomic structure:
```
8
Lattice="-1.9518 3.6156 5.0201 1.9518 -3.6156 5.0201 1.9518 3.6156 -5.0201" Properties=species:S:1:pos:R:3 pbc="T T T"
Sm 0.0000 0.0000 0.0000
Ga 1.9518 0.0000 2.5249
Ga 0.0000 3.6156 2.4953
Pt 1.9518 2.1743 -1.4140
Pt 1.9518 2.1743 1.4140
Pt 0.0000 3.6156 0.0000
Pt 0.0000 1.4413 3.6061
Pt 0.0000 1.4413 6.4341
```

Peak list (12 most intense, 5 to 70 degrees two-theta, by angle)
2θ 15.1, rel. 26
2θ 30.5, rel. 13
2θ 35.0, rel. 100
2θ 35.3, rel. 93
2θ 43.9, rel. 56
2θ 44.2, rel. 33
2θ 44.7, rel. 16
2θ 46.4, rel. 15
2θ 46.5, rel. 33
2θ 51.2, rel. 10
2θ 63.1, rel. 10
2θ 65.9, rel. 33